Entry 1:
The following is a simulated X-ray diffraction stick pattern of CdAg2I4. It was derived from a crystal structure in the Materials Project, relaxed with GGA-PBE, using Cu Ka.
Peak positions follow from Bragg's law for the DFT cell and can differ from measured ones.

Largest 6 diffraction maxima, by angle, 2θ from 10° to 90°:
2θ/deg	intensity
23.54	100.0
38.70	25.7
39.01	50.0
45.80	32.3
46.34	15.6
70.26	16.5

Structure:
Unit cell a=7.9784 b=7.9784 c=7.9784 alpha=131.29 beta=131.29 gamma=71.35
Sites, in units of the cell vectors:
1 Cd 0.0000 0.0000 0.0000
2 Ag 0.2500 0.7500 0.5000
3 Ag 0.7500 0.2500 0.5000
4 I 0.1394 0.1394 0.5173
5 I 0.3779 0.8606 0.0000
6 I 0.6221 0.6221 0.4827
7 I 0.8606 0.3779 0.0000

Entry 2:
The following is a simulated X-ray diffraction stick pattern of Cd2InAgS4. It was derived from a crystal structure in the Materials Project, relaxed with GGA-PBE, using Cu Ka.
Peak positions follow from Bragg's law for the DFT cell and can differ from measured ones.

Largest 6 diffraction maxima, by angle, 2θ from 10° to 90°:
2θ/deg	intensity
24.54	100.0
26.17	74.3
27.82	56.2
27.96	82.8
43.13	54.8
51.35	43.3

Structure:
Unit cell a=7.9623 b=7.9623 c=7.2760 alpha=116.52 beta=116.52 gamma=30.42
Sites, in units of the cell vectors:
1 Cd 0.0000 0.0000 0.0000
2 Cd 0.5045 0.5045 0.4862
3 In 0.7501 0.7501 0.4183
4 Ag 0.2530 0.2530 0.9068
5 S 0.1945 0.1945 0.1885
6 S 0.4410 0.4410 0.0984
7 S 0.6908 0.6908 0.6793
8 S 0.9367 0.9367 0.5965

Entry 3:
The following is a simulated X-ray diffraction stick pattern of CdInAgTe3. It was derived from a crystal structure in the Materials Project, relaxed with GGA-PBE, using Cu Ka.
Peak positions follow from Bragg's law for the DFT cell and can differ from measured ones.

Largest 6 diffraction maxima, by angle, 2θ from 10° to 90°:
2θ/deg	intensity
23.39	100.0
38.64	66.3
38.75	13.2
45.57	16.4
45.72	32.6
61.30	14.8

Structure:
Unit cell a=8.0660 b=8.0660 c=6.6072 alpha=114.14 beta=114.14 gamma=33.48
Sites, in units of the cell vectors:
1 Cd 0.0000 0.0000 0.0000
2 In 0.3290 0.3290 0.3197
3 Ag 0.6635 0.6635 0.6698
4 Te 0.1646 0.1646 0.9100
5 Te 0.4996 0.4996 0.2551
6 Te 0.8282 0.8282 0.5817